Ti2CS: simulated X-ray diffraction stick pattern (Cu Kα (weighted mean of Kα1 and Kα2)), based on a structure optimized by DFT (GGA-PBE).
Intensities are scaled so that the largest is 100.

```
data_Ti2CS
_symmetry_space_group_name_H-M 'P 1'
_symmetry_Int_Tables_number 1
_cell_length_a 3.205
_cell_length_b 3.205
_cell_length_c 11.264
_cell_angle_alpha 90.00
_cell_angle_beta 90.00
_cell_angle_gamma 120.00
loop_
_symmetry_equiv_pos_as_xyz
'x,y,z'
loop_
_atom_site_label
_atom_site_fract_x
_atom_site_fract_y
_atom_site_fract_z
Ti1 0.333 0.667 0.099
Ti2 0.333 0.667 0.401
Ti3 0.667 0.333 0.599
Ti4 0.667 0.333 0.901
C1 0.000 0.000 0.000
C2 0.000 0.000 0.500
S1 0.333 0.667 0.750
S2 0.667 0.333 0.250
```

Main lines, in order of rising 2θ (10 to 90 degrees two-theta):
- (1 0 0), 32.25 deg, I = 24
- (1 0 1), 33.25 deg, I = 6
- (1 0 3), 40.42 deg, I = 100
- (1 0 4), 45.91 deg, I = 6
- (0 0 6), 48.49 deg, I = 8
- (1 1 0), 57.52 deg, I = 26
- (1 0 6), 59.44 deg, I = 10
- (1 0 7), 67.25 deg, I = 6
- (2 0 3), 72.64 deg, I = 15
- (1 1 6), 78.48 deg, I = 11